Tb2NdHo2Mg: simulated powder XRD pattern (Cu Ka), based on a structure optimized by DFT (PBE).
No peak broadening, texture or thermal motion is included.

Atomic structure:
Lattice parameters (Å, degrees): 9.904 9.904 9.904 158.67 147.60 39.12
Positions (direct):
1 Tb 0.185 0.185 0.000
2 Tb 0.815 0.815 0.000
3 Nd 0.000 0.500 0.500
4 Ho 0.365 0.365 0.000
5 Ho 0.635 0.635 0.000
6 Mg 0.500 0.000 0.500

Main lines, in order of rising 2θ (2θ from 10° to 90°):
d (Å)	intensity
3.111	46
3.093	97
3.055	69
2.903	98
2.763	78
2.556	100
2.156	30
2.066	29
1.622	45
1.578	39